1.
This entry pairs a crystal structure of Ce8GePd24 with its simulated powder XRD pattern. Radiation: CuKα. Structure: a DFT-relaxed cell (PBE, Alexandria).
Neutral-atom scattering factors, no anomalous dispersion.

Atomic structure:
```
Ce8GePd24
1.0
8.4463 0.0000 0.0000
0.0000 8.4463 0.0000
0.0000 0.0000 8.4463
Ce Ge Pd
8 1 24
Cartesian
2.1075 2.1075 2.1075 Ce
2.1075 2.1075 6.3387 Ce
2.1075 6.3387 2.1075 Ce
2.1075 6.3387 6.3387 Ce
6.3387 2.1075 2.1075 Ce
6.3387 2.1075 6.3387 Ce
6.3387 6.3387 2.1075 Ce
6.3387 6.3387 6.3387 Ce
0.0000 0.0000 0.0000 Ge
0.0000 0.0000 2.5106 Pd
0.0000 0.0000 5.9357 Pd
0.0000 2.2141 4.2231 Pd
0.0000 2.5106 0.0000 Pd
0.0000 4.2231 2.2141 Pd
0.0000 4.2231 6.2322 Pd
0.0000 5.9357 0.0000 Pd
0.0000 6.2322 4.2231 Pd
2.1442 4.2231 4.2231 Pd
2.2141 0.0000 4.2231 Pd
2.2141 4.2231 0.0000 Pd
2.5106 0.0000 0.0000 Pd
4.2231 0.0000 2.2141 Pd
4.2231 0.0000 6.2322 Pd
4.2231 2.1442 4.2231 Pd
4.2231 2.2141 0.0000 Pd
4.2231 4.2231 2.1442 Pd
4.2231 4.2231 6.3021 Pd
4.2231 6.2322 0.0000 Pd
4.2231 6.3021 4.2231 Pd
5.9357 0.0000 0.0000 Pd
6.2322 0.0000 4.2231 Pd
6.2322 4.2231 0.0000 Pd
6.3021 4.2231 4.2231 Pd
```

Principal peaks in the range 2θ = 5–70°, by angle:
| 2theta | I_rel |
| --- | --- |
| 29.92 | 3.5 |
| 31.78 | 1.2 |
| 36.86 | 100.0 |
| 38.43 | 3.5 |
| 39.94 | 1.6 |
| 42.83 | 52.5 |
| 44.21 | 2.9 |
| 45.57 | 1.3 |
| 48.18 | 1.0 |
| 50.70 | 1.6 |
| 58.88 | 1.5 |
| 62.17 | 31.3 |

---

2.
This entry pairs a crystal structure of CeGe3Pd3 with its simulated powder XRD pattern. Radiation: CuKα. Structure: a DFT-relaxed cell (PBE, Alexandria).
Neutral-atom scattering factors, no anomalous dispersion.

Atomic structure:
```
CeGe3Pd3
1.0
8.9926 0.0000 0.0000
0.0000 4.5494 0.0000
-4.4877 0.0000 7.7980
Ce Ge Pd
2 6 6
Cartesian
0.0049 1.1373 2.5964 Ce
4.5000 3.4120 5.2016 Ce
-3.3765 1.1373 7.4200 Ge
-1.3630 3.4120 4.6703 Ge
2.4851 3.4120 2.7424 Ge
2.0198 1.1373 5.0556 Ge
5.8678 1.1373 3.1277 Ge
7.8813 3.4120 0.3780 Ge
-2.0255 1.1373 5.4001 Pd
1.4069 3.4120 0.5639 Pd
1.0615 3.4120 4.8278 Pd
3.4433 1.1373 2.9702 Pd
3.0980 1.1373 7.2342 Pd
6.5304 3.4120 2.3980 Pd
```

Principal peaks in the range 2θ = 5–70°, by angle:
| 2theta | I_rel |
| --- | --- |
| 11.35 | 94.2 |
| 19.73 | 15.2 |
| 30.20 | 100.0 |
| 34.53 | 93.3 |
| 36.34 | 69.1 |
| 39.62 | 46.7 |
| 41.79 | 16.5 |
| 46.52 | 15.2 |
| 46.62 | 15.2 |
| 50.99 | 19.2 |
| 53.55 | 52.5 |
| 55.20 | 46.4 |

---

3.
This entry pairs a crystal structure of Ce5Ge2Pd with its simulated powder XRD pattern. Radiation: CuKα. Structure: a DFT-relaxed cell (PBE, Alexandria).
Neutral-atom scattering factors, no anomalous dispersion.

Atomic structure:
```
Ce5Ge2Pd
1.0
6.2167 0.0000 0.0000
0.0000 7.5872 4.3901
0.0000 -7.5872 4.3901
Ce Ge Pd
10 4 2
Cartesian
0.0000 0.0000 0.0000 Ce
0.0000 -1.9558 5.4652 Ce
0.0000 1.9558 5.4652 Ce
1.3609 -2.4834 2.1856 Ce
1.3609 2.4834 2.1856 Ce
3.1083 -5.5543 3.2708 Ce
3.1083 0.0000 4.2516 Ce
3.1083 5.5543 3.2708 Ce
4.8558 -2.4834 2.1856 Ce
4.8558 2.4834 2.1856 Ce
0.0000 -4.6479 3.8788 Ge
0.0000 0.0000 3.2368 Ge
0.0000 4.6479 3.8788 Ge
3.1083 0.0000 1.1131 Ge
3.1083 -2.9417 4.8319 Pd
3.1083 2.9417 4.8319 Pd
```

Principal peaks in the range 2θ = 5–70°, by angle:
| 2theta | I_rel |
| --- | --- |
| 23.43 | 9.7 |
| 24.85 | 8.7 |
| 28.72 | 12.3 |
| 31.13 | 39.5 |
| 34.41 | 67.9 |
| 35.41 | 100.0 |
| 35.49 | 17.0 |
| 50.97 | 17.6 |
| 54.63 | 22.7 |
| 54.73 | 8.9 |
| 56.81 | 12.9 |
| 68.71 | 7.6 |

---

4.
This entry pairs a crystal structure of Ce5Ge2Pd with its simulated powder XRD pattern. Radiation: CuKα. Structure: a DFT-relaxed cell (PBE, Alexandria).
Neutral-atom scattering factors, no anomalous dispersion.

Atomic structure:
```
Ce5Ge2Pd
1.0
-3.9215 3.9215 6.4401
3.9215 -3.9215 6.4401
3.9215 3.9215 -6.4401
Ce Ge Pd
10 4 2
Cartesian
0.0000 0.0000 0.0000 Ce
5.3098 1.3883 -2.0025 Ce
1.3883 2.5332 -2.0025 Ce
5.3098 1.3883 2.0025 Ce
1.3883 2.5332 2.0025 Ce
0.0000 0.0000 6.4401 Ce
2.5332 1.3883 4.4376 Ce
-1.3883 2.5332 4.4376 Ce
2.5332 1.3883 8.4426 Ce
-1.3883 2.5332 8.4426 Ce
2.9652 0.9563 0.0000 Ge
2.9652 -0.9563 6.4401 Ge
0.9563 4.8778 0.0000 Ge
0.9563 2.9652 6.4401 Ge
0.0000 0.0000 3.2200 Pd
0.0000 0.0000 9.6601 Pd
```

Principal peaks in the range 2θ = 5–70°, by angle:
| 2theta | I_rel |
| --- | --- |
| 26.33 | 10.1 |
| 26.61 | 9.5 |
| 32.14 | 13.6 |
| 32.28 | 22.5 |
| 32.98 | 100.0 |
| 36.09 | 40.0 |
| 36.22 | 50.5 |
| 42.10 | 17.9 |
| 48.36 | 16.0 |
| 52.63 | 23.5 |
| 57.48 | 13.5 |
| 67.50 | 13.4 |